Entry 1:
Theoretical powder diffractogram
Compound: SmTh4Rh4
Radiation: Cu Ka
Structure: a DFT-relaxed cell (GGA-PBE, Alexandria)
No peak broadening, texture or thermal motion is included.

Top 10 peaks for 10 to 80 degrees two-theta, low angle first:
2θ (°)	I (rel.)
26.7	50
30.8	100
31.2	49
44.2	38
44.5	74
52.4	17
55.1	40
73.0	17
73.2	17
73.8	17

```
SmTh4Rh4
1.0
-4.5841 4.5841 2.8647
4.5841 -4.5841 2.8647
4.5841 4.5841 -2.8647
Sm Th Rh
1 4 4
Direct
0.0000 0.0000 0.0000
0.1934 0.5997 0.7931
0.4003 0.1934 0.5937
0.5997 0.8066 0.4063
0.8066 0.4003 0.2069
0.1063 0.2996 0.4060
0.2996 0.8937 0.1933
0.7004 0.1063 0.8067
0.8937 0.7004 0.5940
```

---

Entry 2:
Theoretical powder diffractogram
Compound: LaNdSm2Mg
Radiation: Cu Ka
Structure: a DFT-relaxed cell (GGA-PBE, Alexandria)
No peak broadening, texture or thermal motion is included.

Top 10 peaks for 10 to 80 degrees two-theta, low angle first:
2θ (°)	I (rel.)
30.5	100
35.0	17
35.3	17
35.9	16
51.0	12
51.2	12
60.0	14
60.4	14
61.2	14
63.5	12

```
LaNdSm2Mg
1.0
5.7229 -2.5043 0.0000
5.7229 2.5043 0.0000
-0.0599 0.0000 11.3918
La Nd Sm Mg
2 2 4 2
Direct
0.0458 0.0458 0.3465
0.9542 0.9542 0.6535
0.2528 0.2528 0.7575
0.7472 0.7472 0.2425
0.1463 0.1463 0.0464
0.3454 0.3454 0.4478
0.6546 0.6546 0.5522
0.8537 0.8537 0.9536
0.4459 0.4459 0.1385
0.5541 0.5541 0.8615
```

---

Entry 3:
Theoretical powder diffractogram
Compound: CsTe8Ir5
Radiation: Cu Ka
Structure: a DFT-relaxed cell (GGA-PBE, Alexandria)
No peak broadening, texture or thermal motion is included.

Top 10 peaks for 10 to 80 degrees two-theta, low angle first:
2θ (°)	I (rel.)
11.4	39
17.8	30
28.6	93
28.8	43
30.3	42
34.6	57
37.0	37
42.4	100
44.4	49
44.9	86

```
CsTe8Ir5
1.0
10.4599 -2.0421 0.0000
10.4599 2.0421 0.0000
-2.3712 0.0000 8.9420
Cs Te Ir
1 8 5
Direct
0.0000 0.0000 0.0000
0.0718 0.0718 0.6487
0.2593 0.2593 0.3494
0.3204 0.3204 0.0235
0.4077 0.4077 0.6550
0.5923 0.5923 0.3450
0.6796 0.6796 0.9765
0.7407 0.7407 0.6506
0.9282 0.9282 0.3513
0.1612 0.1612 0.4886
0.2071 0.2071 0.8143
0.5000 0.5000 0.5000
0.7929 0.7929 0.1857
0.8388 0.8388 0.5114
```

---

Entry 4:
Theoretical powder diffractogram
Compound: Li4Ti15O32
Radiation: Cu Ka
Structure: a DFT-relaxed cell (GGA-PBE, Alexandria)
No peak broadening, texture or thermal motion is included.

Top 10 peaks for 10 to 80 degrees two-theta, low angle first:
2θ (°)	I (rel.)
18.2	100
35.2	28
35.3	7
42.9	55
56.6	12
56.7	6
62.1	16
62.3	14
65.3	8
78.4	6

```
Li4Ti15O32
1.0
2.9885 1.7254 19.4343
-2.9885 1.7254 19.4343
0.0000 -3.4508 19.4343
Li Ti O
4 15 32
Direct
0.0940 0.0940 0.0940
0.1557 0.1557 0.1557
0.8443 0.8443 0.8443
0.9060 0.9060 0.9060
0.0000 0.0000 0.0000
0.1269 0.1269 0.6214
0.1269 0.6214 0.1269
0.1387 0.6204 0.6204
0.2489 0.2489 0.2489
0.3786 0.8731 0.8731
0.3796 0.3796 0.8614
0.3796 0.8614 0.3796
0.6204 0.1386 0.6204
0.6204 0.6204 0.1386
0.6214 0.1269 0.1269
0.7511 0.7511 0.7511
0.8614 0.3796 0.3796
0.8731 0.3786 0.8731
0.8731 0.8731 0.3786
0.0195 0.5812 0.5812
0.0596 0.0596 0.0596
0.0822 0.0822 0.5217
0.0822 0.5217 0.0822
0.1670 0.1670 0.7327
0.1670 0.7327 0.1670
0.1904 0.1904 0.1904
0.2036 0.6859 0.6859
0.2673 0.8330 0.8330
0.3089 0.3089 0.3089
0.3141 0.3141 0.7964
0.3141 0.7964 0.3141
0.4188 0.4188 0.9805
0.4188 0.9805 0.4188
0.4416 0.4416 0.4416
0.4783 0.9178 0.9177
0.5217 0.0823 0.0823
0.5584 0.5584 0.5584
0.5812 0.0195 0.5812
0.5812 0.5812 0.0195
0.6859 0.2036 0.6859
0.6859 0.6859 0.2036
0.6911 0.6911 0.6911
0.7327 0.1670 0.1670
0.7964 0.3141 0.3141
0.8096 0.8096 0.8096
0.8330 0.2673 0.8330
0.8330 0.8330 0.2673
0.9177 0.4783 0.9177
0.9177 0.9177 0.4783
0.9404 0.9404 0.9404
0.9805 0.4188 0.4188
```

---

Q: Which formula does entry 2 have?
A: LaNdSm2Mg

---

Repeat the second record exactly.
Theoretical powder diffractogram
Compound: LaNdSm2Mg
Radiation: Cu Ka
Structure: a DFT-relaxed cell (GGA-PBE, Alexandria)
No peak broadening, texture or thermal motion is included.

Top 10 peaks for 10 to 80 degrees two-theta, low angle first:
2θ (°)	I (rel.)
30.5	100
35.0	17
35.3	17
35.9	16
51.0	12
51.2	12
60.0	14
60.4	14
61.2	14
63.5	12

```
LaNdSm2Mg
1.0
5.7229 -2.5043 0.0000
5.7229 2.5043 0.0000
-0.0599 0.0000 11.3918
La Nd Sm Mg
2 2 4 2
Direct
0.0458 0.0458 0.3465
0.9542 0.9542 0.6535
0.2528 0.2528 0.7575
0.7472 0.7472 0.2425
0.1463 0.1463 0.0464
0.3454 0.3454 0.4478
0.6546 0.6546 0.5522
0.8537 0.8537 0.9536
0.4459 0.4459 0.1385
0.5541 0.5541 0.8615
```